Record 1
Diffraction record for Ni2B2PbO6. The X-ray diffraction stick pattern is theoretical, not measured: it uses a crystal structure in Alexandria, relaxed with GGA+U and Cu Kα X-rays.
Kinematic intensities with the Lorentz-polarization factor, no thermal factor.

Principal peaks in the range 2θ = 15–90°, sorted by position:
- hkl 1 0 0, 19.85°, rel. 14.8
- hkl 0 1 1, 24.38°, rel. 100.0
- hkl 1 0 2, 34.74°, rel. 83.6
- hkl 2 -1 1, 37.63°, rel. 12.7
- hkl 0 0 3, 42.90°, rel. 32.4
- hkl 0 2 2, 49.95°, rel. 13.1
- hkl 1 1 3, 56.34°, rel. 41.7
- hkl 3 0 0, 62.28°, rel. 32.7
- hkl 1 0 5, 78.60°, rel. 19.6
- hkl 1 3 2, 83.77°, rel. 15.8

Structure:
a = 5.1638 Å, b = 5.1638 Å, c = 6.3256 Å
α = 90.00°, β = 90.00°, γ = 120.00°
Space group P-3 (No. 147)
Asymmetric unit:
1 Ni 0.3333 0.6667 0.3399 x2
2 B 0.3333 0.6667 0.7461 x2
3 Pb 0.0000 0.0000 0.0000 x1
4 O 0.0540 0.6429 0.7442 x6



Record 2
Diffraction record for V4NO10. The X-ray diffraction stick pattern is theoretical, not measured: it uses a crystal structure in Alexandria, relaxed with GGA+U and Cu Kα X-rays.
Kinematic intensities with the Lorentz-polarization factor, no thermal factor.

Principal peaks in the range 2θ = 15–90°, sorted by position:
- hkl 0 0 2, 16.68°, rel. 65.6
- hkl 0 0 3, 25.13°, rel. 94.8
- hkl 1 1 0, 25.46°, rel. 100.0
- hkl 1 1 1, 27.22°, rel. 52.6
- hkl 1 1 -2, 29.87°, rel. 36.9
- hkl 4 0 -1, 30.63°, rel. 34.0
- hkl 4 0 1, 33.35°, rel. 38.8
- hkl 0 0 4, 33.70°, rel. 65.9
- hkl 0 2 0, 49.68°, rel. 40.4
- hkl 7 1 -1, 60.70°, rel. 29.3

Structure:
a = 11.7463 Å, b = 3.6701 Å, c = 10.7766 Å
α = 90.00°, β = 99.36°, γ = 90.00°
Space group C2/m (No. 12)
Asymmetric unit:
1 V 0.0891 0.0000 0.1553 x4
2 V 0.2019 0.0000 0.8409 x4
3 N 0.0000 0.5000 0.5000 x2
4 O 0.0662 0.0000 0.9047 x4
5 O 0.0973 0.0000 0.3048 x4
6 O 0.1238 0.5000 0.1253 x4
7 O 0.1656 0.0000 0.6917 x4
8 O 0.2431 0.5000 0.8797 x4